[1]
Diffraction record for NaHg3Au3. The X-ray diffraction stick pattern is simulated, not measured: it uses a cell relaxed with GGA-PBE and Cu Kα.
Lines closer than 0.1° are merged.

Crystal structure
Cell lengths 7.819, 7.819, 7.819 Å; angles 90.00, 90.00, 90.00 degrees
Space group Pm-3n (No. 223)
One atom of each set of equivalent atoms:
1 Na 0.000 0.000 0.000
2 Hg 0.000 0.250 0.500
3 Au 0.000 0.500 0.250

The 8 most intense peaks (2θ = 10–80°), by angle:
2θ/deg	I (rel.)	(hkl)
16.03	100	1 1 0
22.75	29	2 0 0
27.95	71	2 1 1
36.33	28	3 1 0
39.94	72	2 2 2
43.30	45	3 2 1
46.46	38	4 0 0
67.80	25	4 4 0

=====

[2]
Diffraction record for Rb2NaHgAu2. The X-ray diffraction stick pattern is simulated, not measured: it uses a cell relaxed with GGA-PBE and Cu Kα.
Lines closer than 0.1° are merged.

Crystal structure
Cell lengths 6.941, 16.287, 7.250 Å; angles 90.00, 90.00, 90.00 degrees
Space group Ibam (No. 72)
One atom of each set of equivalent atoms:
1 Rb 0.239 0.171 0.000
2 Na 0.000 0.500 0.250
3 Hg 0.000 0.000 0.250
4 Au 0.247 0.396 0.000

The 8 most intense peaks (2θ = 10–80°), by angle:
2θ/deg	I (rel.)	(hkl)
10.86	66	0 2 0
13.87	46	1 1 0
20.80	84	1 2 1
28.25	94	1 4 1
33.08	81	0 4 2
33.94	74	2 4 0
35.82	100	2 0 2
62.09	43	2 4 4

=====

[3]
Diffraction record for NaTl2Hg6Au. The X-ray diffraction stick pattern is simulated, not measured: it uses a cell relaxed with GGA-PBE and Cu Kα.
Lines closer than 0.1° are merged.

Crystal structure
Cell lengths 6.345, 6.663, 6.983 Å; angles 90.56, 102.36, 105.06 degrees
Space group P-1 (No. 2)
One atom of each set of equivalent atoms:
1 Na 0.000 0.000 0.000
2 Tl 0.472 0.874 0.718
3 Hg 0.044 0.221 0.435
4 Hg 0.115 0.616 0.201
5 Hg 0.389 0.310 0.857
6 Au 0.500 0.500 0.500

The 8 most intense peaks (2θ = 10–80°), by angle:
2θ/deg	I (rel.)	(hkl)
28.83	52	0 1 -2
29.48	39	-1 1 2
29.80	56	-2 1 1
29.94	100	2 0 0
30.18	44	-1 2 1
31.64	42	0 2 1
35.44	58	2 0 1
40.37	46	2 1 -2